Starting from a crystal structure in the Materials Project, relaxed with PBE, the PXRD pattern of TiCoGe was calculated for λ = 1.5418 Å (Cu Kα).
No peak broadening, texture or thermal motion is included.

Structural model:
Unit cell a=6.1841 b=6.1841 c=3.7534 alpha=90.00 beta=90.00 gamma=120.00
Positions (direct):
Ti1 0.0000 0.5688 0.0000
Ti2 0.4312 0.4312 0.0000
Ti3 0.5688 0.0000 0.0000
Co1 0.0000 0.2426 0.5000
Co2 0.2426 0.0000 0.5000
Co3 0.7574 0.7574 0.5000
Ge1 0.0000 0.0000 0.0000
Ge2 0.3333 0.6667 0.5000
Ge3 0.6667 0.3333 0.5000

The 10 most intense peaks (10 to 90 degrees two-theta), by angle:
28.87°, d = 3.092 Å, rel. 19.3, (1 1 0); 37.69°, d = 2.387 Å, rel. 55.1, (1 1 1); 41.42°, d = 2.180 Å, rel. 100.0, (2 0 1); 44.77°, d = 2.024 Å, rel. 34.2, (2 1 0); 48.51°, d = 1.877 Å, rel. 30.7, (0 0 2); 51.17°, d = 1.785 Å, rel. 22.2, (3 0 0); 51.28°, d = 1.782 Å, rel. 43.5, (2 1 1); 68.14°, d = 1.376 Å, rel. 17.4, (2 1 2); 73.17°, d = 1.293 Å, rel. 14.7, (3 0 2); 82.60°, d = 1.168 Å, rel. 29.8, (4 1 0)